The following is a computed powder diffraction line list of Y3FeCo8. It was derived from a PBE-relaxed structure, using CuKα.

Structure:
```
data_Y3FeCo8
_chemical_formula_sum 'Y9 Fe3 Co24'
_space_group_name_H-M_alt 'R -3 m'
_space_group_IT_number 166
_space_group_name_Hall '-R 3 2"'
_cell_length_a 5.0265
_cell_length_b 5.0265
_cell_length_c 23.9166
_cell_angle_alpha 90.00
_cell_angle_beta 90.00
_cell_angle_gamma 120.00
loop_
_atom_site_label
_atom_site_fract_x
_atom_site_fract_y
_atom_site_fract_z
Y1 0.0000 0.0000 0.0000
Y2 0.0000 0.0000 0.1395
Fe1 0.0000 0.0000 0.5000
Co1 0.0000 0.0000 0.3333
Co2 0.0009 0.5004 0.9184
```

Principal peaks in the range 2θ = 10–90°, sorted by position:
| 2θ (°) | d (Å) | I (rel.) | hkl |
| --- | --- | --- | --- |
| 33.3 | 2.688 | 28 | 1 0 7 |
| 35.7 | 2.513 | 37 | 1 1 0 |
| 36.5 | 2.464 | 28 | 0 1 8 |
| 41.7 | 2.168 | 37 | 0 2 1 |
| 42.5 | 2.126 | 100 | 1 1 6 |
| 45.8 | 1.981 | 26 | 2 0 5 |
| 68.9 | 1.363 | 22 | 3 0 6 |
| 75.7 | 1.257 | 23 | 2 2 0 |

---

The following is a computed powder diffraction line list of GdDy2TmCd2. It was derived from a PBE-relaxed structure, using CuKα.

Structure:
```
data_GdDy2TmCd2
_chemical_formula_sum 'Gd2 Dy4 Tm2 Cd4'
_space_group_name_H-M_alt 'A m m 2'
_space_group_IT_number 38
_cell_length_a 5.366
_cell_length_b 3.647
_cell_length_c 16.948
_cell_angle_alpha 90.00
_cell_angle_beta 90.00
_cell_angle_gamma 90.00
loop_
_space_group_symop_operation_xyz
'x,y,z'
'-x,-y,z'
'-x,y,z'
'x,-y,z'
'x,y+1/2,z+1/2'
'-x,-y+1/2,z+1/2'
'-x,y+1/2,z+1/2'
'x,-y+1/2,z+1/2'
loop_
_atom_site_label
_atom_site_fract_x
_atom_site_fract_y
_atom_site_fract_z
Gd1 0.000 0.000 0.000
Dy1 0.000 0.000 0.686
Dy2 0.500 0.000 0.864
Tm1 0.500 0.000 0.550
Cd1 0.000 0.000 0.341
Cd2 0.500 0.000 0.206
```

Principal peaks in the range 2θ = 10–90°, sorted by position:
| 2θ (°) | d (Å) | I (rel.) | hkl |
| --- | --- | --- | --- |
| 31.7 | 2.825 | 21 | 0 0 6 |
| 33.4 | 2.683 | 29 | 2 0 0 |
| 33.7 | 2.661 | 100 | 1 1 3 |
| 35.9 | 2.499 | 13 | 1 0 6 |
| 46.7 | 1.945 | 14 | 2 0 6 |
| 57.7 | 1.598 | 9 | 1 1 9 |
| 59.9 | 1.545 | 19 | 3 1 3 |
| 61.5 | 1.508 | 10 | 2 2 0 |

---

The following is a computed powder diffraction line list of La2NdSi4Pd2Au2. It was derived from a PBE-relaxed structure, using CuKα.

Structure:
```
data_La2NdSi4Pd2Au2
_chemical_formula_sum 'La4 Nd2 Si8 Pd4 Au4'
_space_group_name_H-M_alt 'I m m m'
_space_group_IT_number 71
_space_group_name_Hall '-I 2 2'
_cell_length_a 4.284
_cell_length_b 4.298
_cell_length_c 25.127
_cell_angle_alpha 90.00
_cell_angle_beta 90.00
_cell_angle_gamma 90.00
loop_
_atom_site_label
_atom_site_fract_x
_atom_site_fract_y
_atom_site_fract_z
La1 0.000 0.000 0.146
Nd1 0.000 0.500 0.000
Si1 0.000 0.000 0.309
Si2 0.000 0.500 0.453
Pd1 0.000 0.000 0.406
Au1 0.000 0.500 0.249
```

Principal peaks in the range 2θ = 10–90°, sorted by position:
| 2θ (°) | d (Å) | I (rel.) | hkl |
| --- | --- | --- | --- |
| 28.4 | 3.141 | 13 | 0 0 8 |
| 32.5 | 2.752 | 23 | 1 0 7 |
| 32.8 | 2.732 | 100 | 1 1 4 |
| 42.0 | 2.149 | 18 | 0 2 0 |
| 42.2 | 2.142 | 18 | 2 0 0 |
| 44.9 | 2.017 | 12 | 0 1 11 |
| 61.1 | 1.517 | 12 | 2 2 0 |
| 71.0 | 1.328 | 13 | 1 3 4 |